Entry 1:
The following is a simulated PXRD pattern of SrIn6Cu7. It was derived from a structure optimized by DFT (PBE), using Cu Kα (weighted mean of Kα1 and Kα2).

Structural model:
a b c (Å): 9.0367 9.0367 12.7496
angles (deg): 90.00 90.00 89.96
Element x y z (fractional)
Sr 0.2479 0.2479 0.0000
Sr 0.2479 0.2479 0.5000
Sr 0.7521 0.7521 0.0000
Sr 0.7521 0.7521 0.5000
In 0.0529 0.2176 0.7500
In 0.0617 0.9383 0.6153
In 0.0617 0.9383 0.8847
In 0.1117 0.6138 0.5643
In 0.1117 0.6138 0.9357
In 0.2176 0.0529 0.2500
In 0.3143 0.4067 0.2500
In 0.3862 0.8883 0.5643
In 0.3862 0.8883 0.9357
In 0.3870 0.6130 0.0681
In 0.3870 0.6130 0.4319
In 0.4067 0.3143 0.7500
In 0.5933 0.6857 0.2500
In 0.6130 0.3870 0.5681
In 0.6130 0.3870 0.9319
In 0.6138 0.1117 0.0643
In 0.6138 0.1117 0.4357
In 0.6857 0.5933 0.7500
In 0.7824 0.9471 0.7500
In 0.8883 0.3862 0.0643
In 0.8883 0.3862 0.4357
In 0.9383 0.0617 0.1153
In 0.9383 0.0617 0.3847
In 0.9471 0.7824 0.2500
Cu 0.0382 0.3036 0.2500
Cu 0.0937 0.5634 0.1460
Cu 0.0937 0.5634 0.3540
Cu 0.1490 0.8510 0.0811
Cu 0.1490 0.8510 0.4189
Cu 0.1693 0.4878 0.7500
Cu 0.2390 0.7610 0.7500
Cu 0.2596 0.7404 0.2500
Cu 0.3036 0.0382 0.7500
Cu 0.4114 0.5886 0.6455
Cu 0.4114 0.5886 0.8545
Cu 0.4366 0.9063 0.1460
Cu 0.4366 0.9063 0.3540
Cu 0.4878 0.1693 0.2500
Cu 0.5122 0.8307 0.7500
Cu 0.5634 0.0937 0.6460
Cu 0.5634 0.0937 0.8540
Cu 0.5886 0.4114 0.1455
Cu 0.5886 0.4114 0.3545
Cu 0.6964 0.9618 0.2500
Cu 0.7404 0.2596 0.7500
Cu 0.7610 0.2390 0.2500
Cu 0.8307 0.5122 0.2500
Cu 0.8510 0.1490 0.5811
Cu 0.8510 0.1490 0.9189
Cu 0.9063 0.4366 0.6460
Cu 0.9063 0.4366 0.8540
Cu 0.9618 0.6964 0.7500

Most intense lines, 2θ = 10–90°, in order of rising 2θ:
13.87°, d = 6.385 Å, rel. 15
30.51°, d = 2.930 Å, rel. 13
31.32°, d = 2.856 Å, rel. 35
34.40°, d = 2.607 Å, rel. 60
39.93°, d = 2.258 Å, rel. 8
41.86°, d = 2.158 Å, rel. 100
42.45°, d = 2.130 Å, rel. 35
42.54°, d = 2.125 Å, rel. 7
61.61°, d = 1.505 Å, rel. 8
66.72°, d = 1.402 Å, rel. 26


Entry 2:
The following is a simulated PXRD pattern of Ta2InCuTe4. It was derived from a structure optimized by DFT (PBE), using Cu Kα (weighted mean of Kα1 and Kα2).

Structural model:
a b c (Å): 7.7890 7.7890 7.7890
angles (deg): 130.31 130.31 72.91
Element x y z (fractional)
Ta 0.2500 0.7500 0.5000
Ta 0.7500 0.2500 0.5000
In 0.0000 0.0000 0.0000
Cu 0.5000 0.5000 0.0000
Te 0.1483 0.5767 0.0000
Te 0.4233 0.4233 0.5716
Te 0.5767 0.1483 0.0000
Te 0.8517 0.8517 0.4284

Most intense lines, 2θ = 10–90°, in order of rising 2θ:
14.14°, d = 6.265 Å, rel. 10
23.90°, d = 3.723 Å, rel. 100
31.38°, d = 2.850 Å, rel. 8
38.92°, d = 2.314 Å, rel. 25
39.84°, d = 2.263 Å, rel. 48
46.19°, d = 1.965 Å, rel. 30
47.78°, d = 1.904 Å, rel. 17
56.21°, d = 1.636 Å, rel. 7
63.26°, d = 1.470 Å, rel. 11
71.10°, d = 1.326 Å, rel. 12


Entry 3:
The following is a simulated PXRD pattern of Tb2In3Cu. It was derived from a structure optimized by DFT (PBE), using Cu Kα (weighted mean of Kα1 and Kα2).

Structural model:
a b c (Å): 3.6113 4.7849 8.3288
angles (deg): 90.00 90.00 90.00
Element x y z (fractional)
Tb 0.0000 0.0000 0.0000
Tb 0.0000 0.5000 0.4879
In 0.5000 0.0000 0.6390
In 0.5000 0.5000 0.1751
In 0.5000 0.5000 0.8293
Cu 0.5000 0.0000 0.3219

Most intense lines, 2θ = 10–90°, in order of rising 2θ:
32.86°, d = 2.725 Å, rel. 100
37.45°, d = 2.401 Å, rel. 44
37.60°, d = 2.392 Å, rel. 23
50.58°, d = 1.805 Å, rel. 19
50.75°, d = 1.799 Å, rel. 19
64.61°, d = 1.442 Å, rel. 34
64.72°, d = 1.440 Å, rel. 9
64.88°, d = 1.437 Å, rel. 9
67.76°, d = 1.383 Å, rel. 7
89.20°, d = 1.098 Å, rel. 7


Entry 4:
The following is a simulated PXRD pattern of TbIn7Cu5. It was derived from a structure optimized by DFT (PBE), using Cu Kα (weighted mean of Kα1 and Kα2).

Structural model:
a b c (Å): 7.2659 7.2659 7.2659
angles (deg): 134.32 98.72 98.61
Element x y z (fractional)
Tb 0.0000 0.0000 0.0000
In 0.2117 0.5103 0.7014
In 0.3277 0.9872 0.3405
In 0.3327 0.3327 0.0000
In 0.6467 0.9872 0.6595
In 0.6566 0.6566 0.0000
In 0.7744 0.2744 0.5000
In 0.8089 0.5103 0.2986
Cu 0.0053 0.0017 0.5065
Cu 0.0053 0.4988 0.0036
Cu 0.2216 0.7216 0.5000
Cu 0.4951 0.0017 0.9964
Cu 0.4951 0.4988 0.4935

Most intense lines, 2θ = 10–90°, in order of rising 2θ:
31.73°, d = 2.820 Å, rel. 32
32.51°, d = 2.754 Å, rel. 66
37.10°, d = 2.423 Å, rel. 50
37.78°, d = 2.381 Å, rel. 100
38.00°, d = 2.368 Å, rel. 47
41.88°, d = 2.157 Å, rel. 48
42.70°, d = 2.117 Å, rel. 18
60.56°, d = 1.529 Å, rel. 24
68.08°, d = 1.377 Å, rel. 25
68.51°, d = 1.370 Å, rel. 26